[1]
This entry pairs a crystal structure of Gd2TmCdIn2 with its computed X-ray diffraction stick pattern. Radiation: λ = 1.5418 Å (Cu Kα). Structure: DFT lattice parameters and positions (PBE).
No peak broadening, texture or thermal motion is included.

Largest 8 diffraction maxima, low angle first, 10 to 90 degrees two-theta:
two_theta  d (Å)  I/Imax
32.3  2.774  100
35.0  2.566  85
48.3  1.884  32
61.0  1.519  32
62.7  1.482  15
63.7  1.460  29
82.9  1.165  13
85.3  1.138  13

Structure:
```
6
Lattice="5.132 0.000 0.000 -2.566 4.445 0.000 0.000 0.000 7.103" Properties=species:S:1:pos:R:3 pbc="T T T"
Gd 0.000 0.000 1.749
Gd 0.000 0.000 5.354
Tm 2.566 1.482 3.551
Cd 0.000 2.963 0.000
In 0.000 2.963 3.551
In 2.566 1.482 0.000
```

---

[2]
This entry pairs a crystal structure of CuAg2 with its computed X-ray diffraction stick pattern. Radiation: λ = 1.5418 Å (Cu Kα). Structure: DFT lattice parameters and positions (PBE).
No peak broadening, texture or thermal motion is included.

Largest 8 diffraction maxima, low angle first, 10 to 90 degrees two-theta:
two_theta  d (Å)  I/Imax
35.0  2.567  15
38.8  2.321  9
39.1  2.301  100
44.8  2.024  39
60.7  1.526  9
65.2  1.431  12
66.9  1.398  12
78.7  1.215  23

Structure:
```
6
Lattice="2.863 0.000 0.000 0.000 2.863 0.000 0.000 0.000 11.605" Properties=species:S:1:pos:R:3 pbc="T T T"
Cu 0.716 0.716 0.742
Cu 2.147 2.147 10.862
Ag 0.716 0.716 4.732
Ag 0.716 0.716 9.020
Ag 2.147 2.147 2.585
Ag 2.147 2.147 6.872
```

---

[3]
This entry pairs a crystal structure of Cs2KCu3As2 with its computed X-ray diffraction stick pattern. Radiation: λ = 1.5418 Å (Cu Kα). Structure: DFT lattice parameters and positions (PBE).
No peak broadening, texture or thermal motion is included.

Largest 8 diffraction maxima, low angle first, 10 to 90 degrees two-theta:
two_theta  d (Å)  I/Imax
12.7  6.985  30
26.9  3.309  100
28.7  3.114  77
33.5  2.675  48
34.3  2.615  28
38.7  2.324  84
49.7  1.833  35
59.4  1.557  45

Structure:
```
8
Lattice="3.114 1.798 6.985 -3.114 1.798 6.985 0.000 -3.596 6.985" Properties=species:S:1:pos:R:3 pbc="T T T"
Cs 0.000 0.000 1.892
Cs 0.000 0.000 19.064
K 0.000 0.000 10.478
Cu -1.557 -0.899 6.985
Cu -1.557 0.899 13.971
Cu 0.000 1.798 6.985
As 0.000 0.000 5.453
As 0.000 0.000 15.503
```

---

[4]
This entry pairs a crystal structure of Li4GdPaO6 with its computed X-ray diffraction stick pattern. Radiation: λ = 1.5418 Å (Cu Kα). Structure: DFT lattice parameters and positions (PBE).
No peak broadening, texture or thermal motion is included.

Largest 8 diffraction maxima, low angle first, 10 to 90 degrees two-theta:
two_theta  d (Å)  I/Imax
17.8  4.979  100
18.1  4.911  27
19.0  4.670  46
21.8  4.084  34
32.1  2.787  47
33.9  2.646  27
39.8  2.262  47
59.4  1.556  31

Structure:
```
12
Lattice="2.830 -4.911 0.000 2.830 4.911 0.000 -1.841 0.000 4.979" Properties=species:S:1:pos:R:3 pbc="T T T"
Li 0.000 0.000 0.000
Li 1.910 3.538 2.490
Li 1.910 0.042 2.490
Li 1.910 -3.582 2.490
Gd 2.830 1.658 0.000
Pa 2.830 -1.638 0.000
O 0.911 1.680 1.218
O 0.079 -0.032 3.727
O 0.999 -1.591 1.182
O 2.908 1.680 3.761
O 3.740 -0.032 1.252
O 2.820 -1.591 3.797
```

---

[5]
This entry pairs a crystal structure of NaZn3F7 with its computed X-ray diffraction stick pattern. Radiation: λ = 1.5418 Å (Cu Kα). Structure: DFT lattice parameters and positions (PBE).
No peak broadening, texture or thermal motion is included.

Largest 8 diffraction maxima, low angle first, 10 to 90 degrees two-theta:
two_theta  d (Å)  I/Imax
15.2  5.813  32
30.6  2.925  63
30.8  2.907  100
31.6  2.834  39
36.1  2.491  33
50.8  1.798  36
52.1  1.755  41
61.1  1.517  22

Structure:
```
22
Lattice="6.062 -3.548 0.000 6.062 3.548 0.000 -3.842 0.000 5.850" Properties=species:S:1:pos:R:3 pbc="T T T"
Na 0.000 0.000 0.000
Na -1.921 0.000 2.925
Zn 3.031 1.774 0.000
Zn 1.110 1.774 2.925
Zn 3.031 -1.774 0.000
Zn 1.110 -1.774 2.925
Zn 6.062 0.000 0.000
Zn 4.141 0.000 2.925
F 0.397 0.127 2.303
F 2.829 1.291 1.926
F -1.524 -0.127 5.228
F 1.101 1.567 5.753
F 3.181 0.917 4.387
F 5.260 1.567 3.022
F 7.374 1.291 0.999
F 0.908 -1.291 4.851
F 3.022 -1.567 2.828
F 5.102 -0.917 1.462
F 7.182 -1.567 0.097
F 9.807 0.127 0.622
F 5.453 -1.291 3.924
F 7.885 -0.127 3.546
```

---

[6]
This entry pairs a crystal structure of LaNiSnAsPd with its computed X-ray diffraction stick pattern. Radiation: λ = 1.5418 Å (Cu Kα). Structure: DFT lattice parameters and positions (PBE).
No peak broadening, texture or thermal motion is included.

Largest 8 diffraction maxima, low angle first, 10 to 90 degrees two-theta:
two_theta  d (Å)  I/Imax
33.4  2.680  100
40.2  2.241  49
41.2  2.189  13
46.2  1.967  12
53.3  1.719  17
58.2  1.585  16
65.9  1.418  10
68.8  1.364  21

Structure:
```
10
Lattice="4.483 0.000 0.000 0.000 4.483 0.000 0.000 0.000 10.033" Properties=species:S:1:pos:R:3 pbc="T T T"
La 1.121 1.121 2.284
La 3.362 3.362 7.749
Ni 1.121 1.121 9.090
Ni 3.362 3.362 0.944
Sn 1.121 1.121 6.516
Sn 3.362 3.362 3.518
As 1.121 3.362 0.000
As 3.362 1.121 0.000
Pd 1.121 3.362 5.017
Pd 3.362 1.121 5.017
```

---

[7]
This entry pairs a crystal structure of Sr2Pr2Ni3C5 with its computed X-ray diffraction stick pattern. Radiation: λ = 1.5418 Å (Cu Kα). Structure: DFT lattice parameters and positions (PBE).
No peak broadening, texture or thermal motion is included.

Largest 8 diffraction maxima, low angle first, 10 to 90 degrees two-theta:
two_theta  d (Å)  I/Imax
25.2  3.531  44
27.3  3.272  50
29.7  3.005  27
31.4  2.845  32
32.8  2.733  97
33.2  2.697  100
38.1  2.363  59
47.3  1.923  32

Structure:
```
12
Lattice="5.825 -1.923 0.000 5.825 1.923 0.000 -3.784 0.000 9.295" Properties=species:S:1:pos:R:3 pbc="T T T"
Sr -0.355 0.000 3.718
Sr 8.221 0.000 5.577
Pr -0.119 0.000 7.814
Pr 7.985 0.000 1.481
Ni 0.000 0.000 0.000
Ni 4.636 0.000 1.418
Ni 3.231 0.000 7.877
C 2.316 0.000 3.483
C 3.454 0.000 2.817
C 5.825 0.000 0.000
C 4.412 0.000 6.478
C 5.550 0.000 5.812
```

---

[8]
This entry pairs a crystal structure of ErLu6Ni2S2 with its computed X-ray diffraction stick pattern. Radiation: λ = 1.5418 Å (Cu Kα). Structure: DFT lattice parameters and positions (PBE).
No peak broadening, texture or thermal motion is included.

Largest 8 diffraction maxima, low angle first, 10 to 90 degrees two-theta:
two_theta  d (Å)  I/Imax
30.5  2.931  67
32.0  2.798  69
32.5  2.755  42
35.3  2.543  54
36.2  2.484  100
36.6  2.455  49
49.4  1.846  28
57.7  1.599  36

Structure:
```
11
Lattice="-1.846 7.238 4.489 1.846 -7.238 4.489 1.846 7.238 -4.489" Properties=species:S:1:pos:R:3 pbc="T T T"
Er 0.000 0.000 0.000
Lu 1.846 2.690 -0.994
Lu 1.846 -1.951 2.265
Lu 1.846 1.951 2.265
Lu 1.846 5.490 0.875
Lu 0.000 4.548 3.495
Lu 0.000 1.748 5.364
Ni 0.000 3.481 0.789
Ni 0.000 10.994 0.789
S 0.000 0.000 3.139
S 0.000 7.238 2.247
```